# 1
Diffraction record for Li3V3P4O16. The X-ray diffraction stick pattern is simulated, not measured: it uses a crystal structure in the Materials Project, relaxed with PBE+U and a wavelength of 1.5418 Å.
Intensities are scaled so that the largest is 100.

Top 8 peaks for 2θ = 10–80°, sorted by position:
| Position (°2θ) | I_rel | index |
| --- | --- | --- |
| 15.92 | 99 | 1 1 0 |
| 21.70 | 56 | 1 0 2 |
| 23.04 | 100 | 1 1 -2 |
| 24.34 | 57 | 1 1 2 |
| 25.75 | 92 | 2 1 0 |
| 30.00 | 52 | 1 2 -2 |
| 32.19 | 42 | 2 2 0 |
| 37.67 | 33 | 0 3 2 |

Atomic structure:
```
data_Li3V3P4O16
_chemical_formula_sum 'Li6 V6 P8 O32'
_symmetry_space_group_name_H-M 'P 1 21 1'
_symmetry_Int_Tables_number 4
_symmetry_space_group_name_Hall 'P 2yb'
_cell_length_a 7.6704
_cell_length_b 8.1139
_cell_length_c 10.1988
_cell_angle_alpha 90.00
_cell_angle_beta 94.28
_cell_angle_gamma 90.00
loop_
_atom_site_label
_atom_site_fract_x
_atom_site_fract_y
_atom_site_fract_z
Li1 0.1386 0.0000 0.0779
Li2 0.1524 0.0081 0.5763
Li3 0.3417 0.2726 0.6712
V1 0.2364 0.6361 0.6246
V2 0.2415 0.6529 0.1295
V3 0.3572 0.2809 0.1777
P1 0.0481 0.8400 0.8539
P2 0.0496 0.8296 0.3586
P3 0.4486 0.4564 0.4008
P4 0.4502 0.4441 0.8938
O1 0.0051 0.5081 0.6038
O2 0.0144 0.5136 0.1055
O3 0.1014 0.2110 0.6565
O4 0.1132 0.2199 0.1549
O5 0.1352 0.8324 0.7226
O6 0.1446 0.8370 0.2261
O7 0.1816 0.7831 0.9649
O8 0.1928 0.7776 0.4676
O9 0.3071 0.4952 0.2832
O10 0.3069 0.5008 0.7908
O11 0.3559 0.4467 0.5294
O12 0.3697 0.4451 0.0336
O13 0.3952 0.0664 0.0941
O14 0.3993 0.0715 0.5921
O15 0.4865 0.7708 0.1417
O16 0.4969 0.7765 0.6519
```

=====

# 2
Diffraction record for LiV2P3O10. The X-ray diffraction stick pattern is simulated, not measured: it uses a crystal structure in the Materials Project, relaxed with PBE+U and a wavelength of 1.5418 Å.
Intensities are scaled so that the largest is 100.

Top 8 peaks for 2θ = 10–80°, sorted by position:
| Position (°2θ) | I_rel | index |
| --- | --- | --- |
| 20.46 | 25 | 0 2 0 |
| 24.96 | 30 | 1 1 1 |
| 25.68 | 26 | 1 0 -2 |
| 28.24 | 100 | 1 2 0 |
| 31.15 | 36 | 1 1 2 |
| 33.24 | 41 | 1 0 -3 |
| 43.18 | 20 | 1 3 2 |
| 46.27 | 20 | 2 0 -3 |

Atomic structure:
```
data_LiV2P3O10
_chemical_formula_sum 'Li2 V4 P6 O20'
_symmetry_space_group_name_H-M 'P 1 21/m 1'
_symmetry_Int_Tables_number 11
_symmetry_space_group_name_Hall '-P 2yb'
_cell_length_a 4.6572
_cell_length_b 8.6690
_cell_length_c 9.1464
_cell_angle_alpha 90.00
_cell_angle_beta 97.48
_cell_angle_gamma 90.00
loop_
_atom_site_label
_atom_site_fract_x
_atom_site_fract_y
_atom_site_fract_z
Li1 0.0000 0.0000 0.0000
V1 0.0318 0.0695 0.3348
P1 0.3292 0.2500 0.8221
P2 0.4023 0.7500 0.4635
P3 0.4585 0.2500 0.1406
O1 0.1592 0.1013 0.8144
O2 0.2331 0.6010 0.4844
O3 0.2410 0.7500 0.7664
O4 0.2859 0.1018 0.1548
O5 0.2942 0.2500 0.4474
O6 0.4393 0.7500 0.2903
O7 0.4494 0.7500 0.0271
```